(1)
For TmNp2S6, DFT lattice parameters and positions (GGA-PBE) gives the theoretical X-ray diffraction stick pattern in this record (Cu Kα, 1.54184 Å).

Structural model:
```
data_TmNp2S6
_chemical_formula_sum 'Tm1 Np2 S6'
_space_group_name_H-M_alt 'P 1'
_space_group_IT_number 1
_cell_length_a 7.1076
_cell_length_b 7.1076
_cell_length_c 4.2108
_cell_angle_alpha 90.00
_cell_angle_beta 90.00
_cell_angle_gamma 120.00
loop_
_space_group_symop_operation_xyz
'x,y,z'
loop_
_atom_site_label
_atom_site_type_symbol
_atom_site_fract_x
_atom_site_fract_y
_atom_site_fract_z
Tm1 Tm 0.0000 0.0000 0.0000
Np1 Np 0.3333 0.6667 0.2144
Np2 Np 0.6667 0.3333 0.7856
S1 S 0.0803 0.3811 0.7391
S2 S 0.3008 0.9197 0.7391
S3 S 0.3811 0.3008 0.2609
S4 S 0.6189 0.6992 0.7391
S5 S 0.6992 0.0803 0.2609
S6 S 0.9197 0.6189 0.2609
```

Main lines, sorted by position (2θ = 10–80°):
2θ = 25.1°, I = 100.0; 2θ = 25.6°, I = 81.1; 2θ = 33.0°, I = 32.5; 2θ = 36.2°, I = 62.5; 2θ = 44.1°, I = 40.1; 2θ = 44.5°, I = 56.0; 2θ = 45.5°, I = 25.5; 2θ = 59.2°, I = 20.2

(2)
For TmNp2S4, DFT lattice parameters and positions (GGA-PBE) gives the theoretical X-ray diffraction stick pattern in this record (Cu Kα, 1.54184 Å).

Structural model:
```
data_TmNp2S4
_chemical_formula_sum 'Tm4 Np8 S16'
_space_group_name_H-M_alt 'P 1'
_space_group_IT_number 1
_cell_length_a 9.4365
_cell_length_b 9.4365
_cell_length_c 9.4365
_cell_angle_alpha 60.00
_cell_angle_beta 60.00
_cell_angle_gamma 60.00
loop_
_space_group_symop_operation_xyz
'x,y,z'
loop_
_atom_site_label
_atom_site_type_symbol
_atom_site_fract_x
_atom_site_fract_y
_atom_site_fract_z
Tm1 Tm 0.0000 0.0000 0.0000
Tm2 Tm 0.0000 0.0000 0.5000
Tm3 Tm 0.0000 0.5000 0.0000
Tm4 Tm 0.5000 0.0000 0.0000
Np1 Np 0.2780 0.2780 0.2780
Np2 Np 0.2780 0.2780 0.6661
Np3 Np 0.2780 0.6661 0.2780
Np4 Np 0.3339 0.7220 0.7220
Np5 Np 0.6661 0.2780 0.2780
Np6 Np 0.7220 0.3339 0.7220
Np7 Np 0.7220 0.7220 0.3339
Np8 Np 0.7220 0.7220 0.7220
S1 S 0.0000 0.5000 0.5000
S2 S 0.0828 0.0828 0.6672
S3 S 0.0828 0.6672 0.0828
S4 S 0.0828 0.6672 0.6672
S5 S 0.3328 0.3328 0.9172
S6 S 0.3328 0.9172 0.3328
S7 S 0.3328 0.9172 0.9172
S8 S 0.5000 0.0000 0.5000
S9 S 0.5000 0.5000 0.0000
S10 S 0.5000 0.5000 0.5000
S11 S 0.6672 0.0828 0.0828
S12 S 0.6672 0.0828 0.6672
S13 S 0.6672 0.6672 0.0828
S14 S 0.9172 0.3328 0.3328
S15 S 0.9172 0.3328 0.9172
S16 S 0.9172 0.9172 0.3328
```

Main lines, sorted by position (2θ = 10–80°):
2θ = 22.1°, I = 39.5; 2θ = 23.1°, I = 26.2; 2θ = 26.7°, I = 97.1; 2θ = 29.2°, I = 54.5; 2θ = 34.9°, I = 83.5; 2θ = 38.1°, I = 100.0; 2θ = 48.7°, I = 30.1; 2θ = 52.7°, I = 48.6

(3)
For Tm2NpS5, DFT lattice parameters and positions (GGA-PBE) gives the theoretical X-ray diffraction stick pattern in this record (Cu Kα, 1.54184 Å).

Structural model:
```
data_Tm2NpS5
_chemical_formula_sum 'Tm2 Np1 S5'
_space_group_name_H-M_alt 'P 1'
_space_group_IT_number 1
_cell_length_a 8.5702
_cell_length_b 7.8341
_cell_length_c 5.1261
_cell_angle_alpha 79.82
_cell_angle_beta 64.12
_cell_angle_gamma 36.07
loop_
_space_group_symop_operation_xyz
'x,y,z'
loop_
_atom_site_label
_atom_site_type_symbol
_atom_site_fract_x
_atom_site_fract_y
_atom_site_fract_z
Tm1 Tm 0.1797 0.1797 0.8203
Tm2 Tm 0.8203 0.8203 0.1797
Np1 Np 0.5000 0.5000 0.5000
S1 S 0.0000 0.0000 0.0000
S2 S 0.1792 0.5078 0.4922
S3 S 0.4922 0.8208 0.1792
S4 S 0.5078 0.1792 0.8208
S5 S 0.8208 0.4922 0.5078
```

Main lines, sorted by position (2θ = 10–80°):
2θ = 20.3°, I = 67.8; 2θ = 26.7°, I = 100.0; 2θ = 33.6°, I = 36.5; 2θ = 36.6°, I = 25.1; 2θ = 39.6°, I = 25.3; 2θ = 39.7°, I = 73.5; 2θ = 42.2°, I = 18.6; 2θ = 50.5°, I = 19.7

(4)
For NpU4S10, DFT lattice parameters and positions (GGA-PBE) gives the theoretical X-ray diffraction stick pattern in this record (Cu Kα, 1.54184 Å).

Structural model:
```
data_NpU4S10
_chemical_formula_sum 'Np1 U4 S10'
_space_group_name_H-M_alt 'P 1'
_space_group_IT_number 1
_cell_length_a 7.8823
_cell_length_b 7.8823
_cell_length_c 7.8823
_cell_angle_alpha 99.60
_cell_angle_beta 99.60
_cell_angle_gamma 131.80
loop_
_space_group_symop_operation_xyz
'x,y,z'
loop_
_atom_site_label
_atom_site_type_symbol
_atom_site_fract_x
_atom_site_fract_y
_atom_site_fract_z
Np1 Np 0.0000 0.0000 0.0000
U1 U 0.2005 0.3994 0.6000
U2 U 0.3994 0.7995 0.1989
U3 U 0.6006 0.2005 0.8011
U4 U 0.7995 0.6006 0.4000
S1 S 0.0500 0.3516 0.8987
S2 S 0.1513 0.0500 0.6984
S3 S 0.2500 0.7500 0.5000
S4 S 0.3516 0.4529 0.3016
S5 S 0.4529 0.1513 0.1013
S6 S 0.5471 0.8487 0.8987
S7 S 0.6484 0.5471 0.6984
S8 S 0.7500 0.2500 0.5000
S9 S 0.8487 0.9500 0.3016
S10 S 0.9500 0.6484 0.1013
```

Main lines, sorted by position (2θ = 10–80°):
2θ = 23.9°, I = 100.0; 2θ = 27.7°, I = 25.4; 2θ = 39.6°, I = 68.4; 2θ = 46.8°, I = 52.3; 2θ = 57.3°, I = 11.7; 2θ = 62.9°, I = 22.3; 2θ = 71.9°, I = 24.3; 2θ = 77.0°, I = 17.3

(5)
For NpUS3, DFT lattice parameters and positions (GGA-PBE) gives the theoretical X-ray diffraction stick pattern in this record (Cu Kα, 1.54184 Å).

Structural model:
```
data_NpUS3
_chemical_formula_sum 'Np2 U2 S6'
_space_group_name_H-M_alt 'P 1'
_space_group_IT_number 1
_cell_length_a 7.0689
_cell_length_b 7.0689
_cell_length_c 6.9732
_cell_angle_alpha 90.00
_cell_angle_beta 90.00
_cell_angle_gamma 120.00
loop_
_space_group_symop_operation_xyz
'x,y,z'
loop_
_atom_site_label
_atom_site_type_symbol
_atom_site_fract_x
_atom_site_fract_y
_atom_site_fract_z
Np1 Np 0.0000 0.0000 0.0000
Np2 Np 0.0000 0.0000 0.5000
U1 U 0.6667 0.3333 0.0000
U2 U 0.6667 0.3333 0.5000
S1 S 0.3355 0.0910 0.2500
S2 S 0.3355 0.2445 0.7500
S3 S 0.7555 0.0910 0.7500
S4 S 0.7555 0.6645 0.2500
S5 S 0.9090 0.2445 0.2500
S6 S 0.9090 0.6645 0.7500
```

Main lines, sorted by position (2θ = 10–80°):
2θ = 14.5°, I = 100.0; 2θ = 25.2°, I = 72.5; 2θ = 29.5°, I = 23.4; 2θ = 36.2°, I = 83.1; 2θ = 39.2°, I = 24.1; 2θ = 44.4°, I = 22.3; 2θ = 51.9°, I = 23.3; 2θ = 76.3°, I = 18.4

(6)
For NpU3S4, DFT lattice parameters and positions (GGA-PBE) gives the theoretical X-ray diffraction stick pattern in this record (Cu Kα, 1.54184 Å).

Structural model:
```
data_NpU3S4
_chemical_formula_sum 'Np1 U3 S4'
_space_group_name_H-M_alt 'P 1'
_space_group_IT_number 1
_cell_length_a 5.4640
_cell_length_b 5.4640
_cell_length_c 5.4640
_cell_angle_alpha 90.00
_cell_angle_beta 90.00
_cell_angle_gamma 90.00
loop_
_space_group_symop_operation_xyz
'x,y,z'
loop_
_atom_site_label
_atom_site_type_symbol
_atom_site_fract_x
_atom_site_fract_y
_atom_site_fract_z
Np1 Np 0.0000 0.0000 0.0000
U1 U 0.0000 0.5000 0.5000
U2 U 0.5000 0.0000 0.5000
U3 U 0.5000 0.5000 0.0000
S1 S 0.0000 0.0000 0.5000
S2 S 0.0000 0.5000 0.0000
S3 S 0.5000 0.0000 0.0000
S4 S 0.5000 0.5000 0.5000
```

Main lines, sorted by position (2θ = 10–80°):
2θ = 28.3°, I = 100.0; 2θ = 32.8°, I = 94.4; 2θ = 47.0°, I = 69.3; 2θ = 55.8°, I = 49.7; 2θ = 58.5°, I = 24.4; 2θ = 68.7°, I = 11.5; 2θ = 75.9°, I = 21.2; 2θ = 78.2°, I = 32.9

(7)
For Np3U2S8, DFT lattice parameters and positions (GGA-PBE) gives the theoretical X-ray diffraction stick pattern in this record (Cu Kα, 1.54184 Å).

Structural model:
```
data_Np3U2S8
_chemical_formula_sum 'Np3 U2 S8'
_space_group_name_H-M_alt 'P 1'
_space_group_IT_number 1
_cell_length_a 8.0616
_cell_length_b 8.0616
_cell_length_c 4.7303
_cell_angle_alpha 90.00
_cell_angle_beta 90.00
_cell_angle_gamma 109.71
loop_
_space_group_symop_operation_xyz
'x,y,z'
loop_
_atom_site_label
_atom_site_type_symbol
_atom_site_fract_x
_atom_site_fract_y
_atom_site_fract_z
Np1 Np 0.0000 0.0000 0.0000
Np2 Np 0.2771 0.2771 0.5000
Np3 Np 0.7229 0.7229 0.5000
U1 U 0.2621 0.7379 0.0000
U2 U 0.7379 0.2621 0.0000
S1 S 0.1188 0.8812 0.5000
S2 S 0.1213 0.3658 0.0000
S3 S 0.3658 0.1213 0.0000
S4 S 0.3677 0.6323 0.5000
S5 S 0.6323 0.3677 0.5000
S6 S 0.6342 0.8787 0.0000
S7 S 0.8787 0.6342 0.0000
S8 S 0.8812 0.1188 0.5000
```

Main lines, sorted by position (2θ = 10–80°):
2θ = 23.1°, I = 44.8; 2θ = 23.4°, I = 41.6; 2θ = 26.9°, I = 48.6; 2θ = 27.1°, I = 24.4; 2θ = 38.0°, I = 27.8; 2θ = 38.5°, I = 100.0; 2θ = 38.8°, I = 22.6; 2θ = 70.1°, I = 19.8

(8)
For Np3U4S8, DFT lattice parameters and positions (GGA-PBE) gives the theoretical X-ray diffraction stick pattern in this record (Cu Kα, 1.54184 Å).

Structural model:
```
data_Np3U4S8
_chemical_formula_sum 'Np3 U4 S8'
_space_group_name_H-M_alt 'P 1'
_space_group_IT_number 1
_cell_length_a 7.7189
_cell_length_b 7.7189
_cell_length_c 7.7239
_cell_angle_alpha 119.83
_cell_angle_beta 119.83
_cell_angle_gamma 90.06
loop_
_space_group_symop_operation_xyz
'x,y,z'
loop_
_atom_site_label
_atom_site_type_symbol
_atom_site_fract_x
_atom_site_fract_y
_atom_site_fract_z
Np1 Np 0.0000 0.0000 0.0000
Np2 Np 0.0000 0.5000 0.0000
Np3 Np 0.5000 0.0000 0.0000
U1 U 0.0000 0.5000 0.5000
U2 U 0.5000 0.0000 0.5000
U3 U 0.5000 0.5000 0.0000
U4 U 0.5000 0.5000 0.5000
S1 S 0.2453 0.7547 0.5000
S2 S 0.2458 0.2458 0.5024
S3 S 0.2462 0.2462 0.9919
S4 S 0.2496 0.7504 0.0000
S5 S 0.7504 0.2496 0.0000
S6 S 0.7538 0.7538 0.0081
S7 S 0.7542 0.7542 0.4976
S8 S 0.7547 0.2453 0.5000
```

Main lines, sorted by position (2θ = 10–80°):
2θ = 14.0°, I = 14.0; 2θ = 28.3°, I = 100.0; 2θ = 32.6°, I = 34.6; 2θ = 32.8°, I = 68.1; 2θ = 46.9°, I = 37.8; 2θ = 47.1°, I = 37.5; 2θ = 55.8°, I = 25.0; 2θ = 78.4°, I = 14.7

(9)
For Np2U2S7, DFT lattice parameters and positions (GGA-PBE) gives the theoretical X-ray diffraction stick pattern in this record (Cu Kα, 1.54184 Å).

Structural model:
```
data_Np2U2S7
_chemical_formula_sum 'Np2 U2 S7'
_space_group_name_H-M_alt 'P 1'
_space_group_IT_number 1
_cell_length_a 8.3656
_cell_length_b 8.3656
_cell_length_c 8.3656
_cell_angle_alpha 153.06
_cell_angle_beta 68.05
_cell_angle_gamma 118.84
loop_
_space_group_symop_operation_xyz
'x,y,z'
loop_
_atom_site_label
_atom_site_type_symbol
_atom_site_fract_x
_atom_site_fract_y
_atom_site_fract_z
Np1 Np 0.2401 0.0000 0.2401
Np2 Np 0.7599 0.0000 0.7599
U1 U 0.2544 0.2544 0.0000
U2 U 0.7006 0.2006 0.5000
S1 S 0.0585 0.6934 0.3651
S2 S 0.3283 0.6934 0.6349
S3 S 0.4169 0.5271 0.8898
S4 S 0.6174 0.3015 0.3159
S5 S 0.6373 0.5271 0.1102
S6 S 0.9284 0.9284 0.0000
S7 S 0.9856 0.3015 0.6841
```

Main lines, sorted by position (2θ = 10–80°):
2θ = 24.5°, I = 100.0; 2θ = 25.1°, I = 54.3; 2θ = 25.7°, I = 44.5; 2θ = 28.3°, I = 62.1; 2θ = 36.2°, I = 74.1; 2θ = 41.5°, I = 47.9; 2θ = 44.6°, I = 30.6; 2θ = 53.4°, I = 26.2

(10)
For Np2US6, DFT lattice parameters and positions (GGA-PBE) gives the theoretical X-ray diffraction stick pattern in this record (Cu Kα, 1.54184 Å).

Structural model:
```
data_Np2US6
_chemical_formula_sum 'Np2 U1 S6'
_space_group_name_H-M_alt 'P 1'
_space_group_IT_number 1
_cell_length_a 7.1151
_cell_length_b 7.1151
_cell_length_c 4.2430
_cell_angle_alpha 90.00
_cell_angle_beta 90.00
_cell_angle_gamma 120.00
loop_
_space_group_symop_operation_xyz
'x,y,z'
loop_
_atom_site_label
_atom_site_type_symbol
_atom_site_fract_x
_atom_site_fract_y
_atom_site_fract_z
Np1 Np 0.3333 0.6667 0.2643
Np2 Np 0.6667 0.3333 0.7357
U1 U 0.0000 0.0000 0.5000
S1 S 0.0819 0.7045 0.7548
S2 S 0.2955 0.3775 0.7548
S3 S 0.3775 0.0819 0.2452
S4 S 0.6225 0.9181 0.7548
S5 S 0.7045 0.6225 0.2452
S6 S 0.9181 0.2955 0.2452
```

Main lines, sorted by position (2θ = 10–80°):
2θ = 25.0°, I = 100.0; 2θ = 25.5°, I = 85.0; 2θ = 32.9°, I = 26.0; 2θ = 36.0°, I = 60.7; 2θ = 44.1°, I = 38.3; 2θ = 44.4°, I = 54.3; 2θ = 45.2°, I = 25.8; 2θ = 58.9°, I = 20.9

(11)
For Np2U3S8, DFT lattice parameters and positions (GGA-PBE) gives the theoretical X-ray diffraction stick pattern in this record (Cu Kα, 1.54184 Å).

Structural model:
```
data_Np2U3S8
_chemical_formula_sum 'Np2 U3 S8'
_space_group_name_H-M_alt 'P 1'
_space_group_IT_number 1
_cell_length_a 8.1389
_cell_length_b 8.1389
_cell_length_c 4.6840
_cell_angle_alpha 90.00
_cell_angle_beta 90.00
_cell_angle_gamma 110.30
loop_
_space_group_symop_operation_xyz
'x,y,z'
loop_
_atom_site_label
_atom_site_type_symbol
_atom_site_fract_x
_atom_site_fract_y
_atom_site_fract_z
Np1 Np 0.2350 0.7650 0.0000
Np2 Np 0.7650 0.2350 0.0000
U1 U 0.2272 0.2272 0.5000
U2 U 0.5000 0.5000 0.0000
U3 U 0.7728 0.7728 0.5000
S1 S 0.1268 0.8732 0.5000
S2 S 0.1387 0.3808 0.0000
S3 S 0.3808 0.1387 0.0000
S4 S 0.3830 0.6170 0.5000
S5 S 0.6170 0.3830 0.5000
S6 S 0.6192 0.8613 0.0000
S7 S 0.8613 0.6192 0.0000
S8 S 0.8732 0.1268 0.5000
```

Main lines, sorted by position (2θ = 10–80°):
2θ = 23.2°, I = 35.7; 2θ = 23.3°, I = 33.7; 2θ = 26.7°, I = 19.1; 2θ = 27.0°, I = 38.3; 2θ = 29.3°, I = 14.4; 2θ = 38.4°, I = 100.0; 2θ = 38.7°, I = 18.5; 2θ = 69.5°, I = 14.1

(12)
For NpWS, DFT lattice parameters and positions (GGA-PBE) gives the theoretical X-ray diffraction stick pattern in this record (Cu Kα, 1.54184 Å).

Structural model:
```
data_NpWS
_chemical_formula_sum 'Np2 W2 S2'
_space_group_name_H-M_alt 'P 1'
_space_group_IT_number 1
_cell_length_a 8.3636
_cell_length_b 8.3636
_cell_length_c 8.3636
_cell_angle_alpha 26.43
_cell_angle_beta 26.43
_cell_angle_gamma 26.43
loop_
_space_group_symop_operation_xyz
'x,y,z'
loop_
_atom_site_label
_atom_site_type_symbol
_atom_site_fract_x
_atom_site_fract_y
_atom_site_fract_z
Np1 Np 0.1430 0.1430 0.1430
Np2 Np 0.8570 0.8570 0.8570
W1 W 0.2952 0.2952 0.2952
W2 W 0.7048 0.7048 0.7048
S1 S 0.3999 0.3999 0.3999
S2 S 0.6001 0.6001 0.6001
```

Main lines, sorted by position (2θ = 10–80°):
2θ = 22.0°, I = 15.2; 2θ = 27.9°, I = 49.4; 2θ = 30.8°, I = 25.8; 2θ = 32.8°, I = 33.4; 2θ = 37.6°, I = 100.0; 2θ = 47.6°, I = 61.8; 2θ = 60.4°, I = 16.9; 2θ = 62.2°, I = 23.6